Structure and theoretical powder diffraction line list of TlMo2Cl7O2 (a crystal structure in Alexandria, relaxed with PBE+U; Cu Kα X-rays).

Crystal structure
a = 7.275 Å, b = 9.667 Å, c = 10.278 Å
α = 102.64°, β = 91.20°, γ = 109.29°
Space group P-1 (No. 2)
Inequivalent atoms, fractional coordinates:
Tl: 0.224 0.263 0.436
Mo: 0.225 0.648 0.294
Mo: 0.372 0.120 0.900
Cl: 0.086 0.844 0.347
Cl: 0.104 0.894 0.840
Cl: 0.255 0.657 0.526
Cl: 0.285 0.701 0.065
Cl: 0.413 0.091 0.125
Cl: 0.426 0.097 0.665
Cl: 0.462 0.522 0.272
O: 0.020 0.498 0.234
O: 0.261 0.250 0.930

Most intense lines, 10° ≤ 2θ ≤ 90°, most intense first:
d (Å)	Rel. int.
5.321	100
2.566	83
5.388	68
2.749	66
5.953	58
4.390	48
4.238	44
2.343	44
4.469	43
2.925	38